The following is a theoretical XRD peak list of CaDy4ScSe8. It was derived from the GGA-PBE geometry in Alexandria, using Cu Ka.

Crystal structure
abc: 8.4347 8.4347 20.2640
angles: 90.00 90.00 120.00
Space group R3m (No. 160, hexagonal axes)
Symmetry-distinct sites (fractional):
1 Ca 0.0000 0.0000 0.0000 [3 per cell]
2 Dy 0.0000 0.0000 0.2444 [3 per cell]
3 Dy 0.1697 0.3394 0.4545 [9 per cell]
4 Sc 0.0000 0.0000 0.6244 [3 per cell]
5 Se 0.0000 0.0000 0.3789 [3 per cell]
6 Se 0.0000 0.0000 0.8630 [3 per cell]
7 Se 0.0335 0.5167 0.3717 [9 per cell]
8 Se 0.1805 0.3610 0.2055 [9 per cell]

The 10 most intense peaks (10° ≤ 2θ ≤ 80°), sorted by position:
d/Å  2θ/deg  intensity
6.755  13.11  28
4.163  21.34  27
3.594  24.77  61
3.577  24.89  39
3.544  25.13  21
2.963  30.17  100
2.282  39.49  30
2.109  42.89  74
2.081  43.48  73
1.481  62.72  22

The following is a theoretical XRD peak list of CaDy4Se6. It was derived from the GGA-PBE geometry in Alexandria, using Cu Ka.

Crystal structure
abc: 4.054 13.423 20.932
angles: 90.00 90.00 90.00
Space group Cmcm (No. 63)
Symmetry-distinct sites (fractional):
1 Ca 0.000 0.159 0.250 [4 per cell]
2 Dy 0.000 0.091 0.630 [8 per cell]
3 Dy 0.000 0.361 0.540 [8 per cell]
4 Se 0.000 0.000 0.000 [4 per cell]
5 Se 0.000 0.185 0.750 [4 per cell]
6 Se 0.000 0.270 0.088 [8 per cell]
7 Se 0.000 0.452 0.664 [8 per cell]

The 10 most intense peaks (10° ≤ 2θ ≤ 80°), sorted by position:
d/Å  2θ/deg  intensity
3.552  25.07  55
3.095  28.84  47
2.974  30.05  72
2.888  30.97  100
2.759  32.45  83
2.731  32.79  56
2.169  41.63  49
2.058  44.01  80
2.027  44.71  46
1.974  45.99  62

The following is a theoretical XRD peak list of Ca4Dy3Se8. It was derived from the GGA-PBE geometry in Alexandria, using Cu Ka.

Crystal structure
abc: 8.2308 8.2308 22.5396
angles: 90.00 90.00 120.00
Space group R-3m (No. 166, hexagonal axes)
Symmetry-distinct sites (fractional):
1 Ca 0.0000 0.0000 0.0000 [3 per cell]
2 Ca 0.0000 0.0000 0.1464 [6 per cell]
3 Ca 0.0000 0.0000 0.5000 [3 per cell]
4 Dy 0.0000 0.5000 0.0000 [9 per cell]
5 Se 0.0000 0.0000 0.2673 [6 per cell]
6 Se 0.0075 0.5037 0.2557 [18 per cell]

The 10 most intense peaks (10° ≤ 2θ ≤ 80°), sorted by position:
d/Å  2θ/deg  intensity
7.513  11.78  58
3.520  25.30  30
3.012  29.66  100
2.389  37.65  27
2.210  40.83  46
2.058  44.01  45
1.776  51.44  14
1.699  53.97  18
1.387  67.52  16
1.310  72.09  20

The following is a theoretical XRD peak list of CaDy3Se4. It was derived from the GGA-PBE geometry in Alexandria, using Cu Ka.

Crystal structure
abc: 5.784 5.784 11.613
angles: 90.00 90.00 90.00
Space group I4/mmm (No. 139)
Symmetry-distinct sites (fractional):
1 Ca 0.000 0.000 0.000 [2 per cell]
2 Dy 0.000 0.000 0.500 [2 per cell]
3 Dy 0.000 0.500 0.250 [4 per cell]
4 Se 0.000 0.000 0.249 [4 per cell]
5 Se 0.000 0.500 0.000 [4 per cell]

The 10 most intense peaks (10° ≤ 2θ ≤ 80°), sorted by position:
d/Å  2θ/deg  intensity
5.177  17.13  14
3.344  26.66  15
2.903  30.80  45
2.892  30.92  90
2.048  44.23  100
1.672  54.92  35
1.452  64.16  5
1.446  64.44  11
1.297  72.91  15
1.294  73.15  30

The following is a theoretical XRD peak list of Ca2TbDySe4. It was derived from the GGA-PBE geometry in Alexandria, using Cu Ka.

Crystal structure
abc: 7.116 4.112 7.249
angles: 90.00 109.15 90.00
Space group P2/m (No. 10)
Symmetry-distinct sites (fractional):
1 Ca 0.000 0.000 0.000 [1 per cell]
2 Ca 0.500 0.500 0.000 [1 per cell]
3 Tb 0.000 0.500 0.500 [1 per cell]
4 Dy 0.500 0.000 0.500 [1 per cell]
5 Se 0.250 0.000 0.747 [2 per cell]
6 Se 0.252 0.500 0.254 [2 per cell]

The 10 most intense peaks (10° ≤ 2θ ≤ 80°), sorted by position:
d/Å  2θ/deg  intensity
6.848  12.93  26
3.507  25.40  16
2.925  30.56  100
2.690  33.30  7
2.082  43.46  37
2.055  44.07  36
1.682  54.57  19
1.463  63.61  12
1.315  71.76  16
1.301  72.65  16

The following is a theoretical XRD peak list of Ca3Dy3TmSe8. It was derived from the GGA-PBE geometry in Alexandria, using Cu Ka.

Crystal structure
abc: 8.1840 8.1840 20.5078
angles: 90.00 90.00 120.00
Space group R-3m (No. 166, hexagonal axes)
Symmetry-distinct sites (fractional):
1 Ca 0.0000 0.5000 0.0000 [9 per cell]
2 Dy 0.0000 0.5000 0.5000 [9 per cell]
3 Tm 0.0000 0.0000 0.5000 [3 per cell]
4 Se 0.0000 0.0000 0.2484 [6 per cell]
5 Se 0.0024 0.5012 0.2465 [18 per cell]

The 10 most intense peaks (10° ≤ 2θ ≤ 80°), sorted by position:
d/Å  2θ/deg  intensity
6.836  12.95  38
3.492  25.51  20
2.915  30.67  100
2.077  43.58  37
2.046  44.27  36
1.960  46.32  10
1.675  54.82  19
1.458  63.86  12
1.312  72.00  16
1.296  73.01  16

The following is a theoretical XRD peak list of CaDy4YSe8. It was derived from the GGA-PBE geometry in Alexandria, using Cu Ka.

Crystal structure
abc: 8.4566 8.4566 20.7211
angles: 90.00 90.00 120.00
Space group R3m (No. 160, hexagonal axes)
Symmetry-distinct sites (fractional):
1 Ca 0.0000 0.0000 0.0000 [3 per cell]
2 Dy 0.0000 0.0000 0.2502 [3 per cell]
3 Dy 0.1695 0.3390 0.4577 [9 per cell]
4 Y 0.0000 0.0000 0.6273 [3 per cell]
5 Se 0.0000 0.0000 0.3830 [3 per cell]
6 Se 0.0000 0.0000 0.8652 [3 per cell]
7 Se 0.0259 0.5129 0.3787 [9 per cell]
8 Se 0.1770 0.3540 0.2057 [9 per cell]

The 10 most intense peaks (10° ≤ 2θ ≤ 80°), sorted by position:
d/Å  2θ/deg  intensity
6.906  12.82  32
4.229  21.01  17
3.606  24.69  81
2.990  29.88  69
2.302  39.13  47
2.114  42.77  100
1.726  53.05  17
1.557  59.35  19
1.337  70.41  20
1.221  78.32  31

The following is a theoretical XRD peak list of CaSm7Dy12. It was derived from the GGA-PBE geometry in Alexandria, using Cu Ka.

Crystal structure
abc: 11.339 11.339 11.339
angles: 90.00 90.00 90.00
Space group Im-3 (No. 204)
Symmetry-distinct sites (fractional):
1 Ca 0.000 0.000 0.000 [2 per cell]
2 Sm 0.000 0.000 0.500 [6 per cell]
3 Sm 0.250 0.250 0.250 [8 per cell]
4 Dy 0.000 0.254 0.255 [24 per cell]

The 10 most intense peaks (10° ≤ 2θ ≤ 80°), sorted by position:
d/Å  2θ/deg  intensity
5.670  15.63  33
3.273  27.24  71
2.835  31.56  100
2.536  35.40  18
2.005  45.24  74
1.709  53.61  32
1.637  56.20  26
1.417  65.90  12
1.301  72.70  13
1.268  74.90  33

The following is a theoretical XRD peak list of CaSm7Dy2. It was derived from the GGA-PBE geometry in Alexandria, using Cu Ka.

Crystal structure
abc: 6.269 6.287 9.618
angles: 70.96 71.04 80.32
Space group P-1 (No. 2)
Symmetry-distinct sites (fractional):
1 Ca 0.000 0.000 0.000 [1 per cell]
2 Sm 0.203 0.000 0.595 [2 per cell]
3 Sm 0.310 0.499 0.897 [2 per cell]
4 Sm 0.395 0.000 0.205 [2 per cell]
5 Sm 0.500 0.500 0.500 [1 per cell]
6 Dy 0.100 0.493 0.304 [2 per cell]

The 10 most intense peaks (10° ≤ 2θ ≤ 80°), sorted by position:
d/Å  2θ/deg  intensity
2.965  30.14  100
2.959  30.21  33
2.574  34.86  23
2.567  34.95  23
2.559  35.06  22
1.818  50.19  16
1.814  50.30  24
1.551  59.60  14
1.549  59.71  19
1.545  59.85  19

The following is a theoretical XRD peak list of CaSm3Dy. It was derived from the GGA-PBE geometry in Alexandria, using Cu Ka.

Crystal structure
abc: 18.553 5.568 7.237
angles: 90.00 112.91 90.00
Space group C2/m (No. 12)
Symmetry-distinct sites (fractional):
1 Ca 0.109 0.000 0.108 [4 per cell]
2 Sm 0.002 0.500 0.263 [4 per cell]
3 Sm 0.109 0.000 0.610 [4 per cell]
4 Sm 0.201 0.500 0.451 [4 per cell]
5 Dy 0.199 0.500 0.947 [4 per cell]

The 10 most intense peaks (10° ≤ 2θ ≤ 80°), sorted by position:
d/Å  2θ/deg  intensity
2.987  29.91  80
2.913  30.69  100
2.784  32.15  45
2.761  32.42  37
2.269  39.72  18
2.238  40.30  16
1.961  46.31  27
1.631  56.41  18
1.610  57.24  17
1.537  60.21  29

The following is a theoretical XRD peak list of CaSm3Dy6. It was derived from the GGA-PBE geometry in Alexandria, using Cu Ka.

Crystal structure
abc: 11.601 6.640 9.596
angles: 90.00 113.55 90.00
Space group C2/m (No. 12)
Symmetry-distinct sites (fractional):
1 Ca 0.000 0.000 0.000 [2 per cell]
2 Sm 0.000 0.500 0.500 [2 per cell]
3 Sm 0.068 0.000 0.691 [4 per cell]
4 Dy 0.141 0.500 0.924 [4 per cell]
5 Dy 0.188 0.254 0.310 [8 per cell]

The 10 most intense peaks (10° ≤ 2θ ≤ 80°), sorted by position:
d/Å  2θ/deg  intensity
3.157  28.27  62
2.932  30.48  20
2.884  31.01  42
2.865  31.22  100
2.861  31.27  30
2.816  31.77  35
2.653  33.78  36
1.760  51.96  21
1.671  54.95  26
1.579  58.47  23

The following is a theoretical XRD peak list of Ca3SmDy3Te8. It was derived from the GGA-PBE geometry in Alexandria, using Cu Ka.

Crystal structure
abc: 8.7703 8.7703 21.9829
angles: 90.00 90.00 120.00
Space group R-3m (No. 166, hexagonal axes)
Symmetry-distinct sites (fractional):
1 Ca 0.0000 0.5000 0.0000 [9 per cell]
2 Sm 0.0000 0.0000 0.5000 [3 per cell]
3 Dy 0.0000 0.5000 0.5000 [9 per cell]
4 Te 0.0000 0.0000 0.2481 [6 per cell]
5 Te 0.0091 0.5046 0.7505 [18 per cell]

The 10 most intense peaks (10° ≤ 2θ ≤ 80°), sorted by position:
d/Å  2θ/deg  intensity
7.328  12.08  21
3.742  23.78  13
3.124  28.57  100
2.226  40.52  39
2.193  41.17  37
1.795  50.88  20
1.562  59.14  12
1.406  66.51  17
1.389  67.44  17
1.272  74.59  12